(1)
Theoretical powder XRD pattern of CuB6 for Cu Kα X-rays, from DFT lattice parameters and positions (GGA-PBE).
Kinematic intensities with the Lorentz-polarization factor, no thermal factor.

Most intense lines, 10° ≤ 2θ ≤ 90°, by angle:
21.7°, I 28.6
30.8°, I 100.0
38.0°, I 47.5
44.1°, I 24.2
49.7°, I 44.4
54.8°, I 15.7
64.2°, I 7.2
68.6°, I 28.7
72.9°, I 20.7
77.1°, I 9.5
85.3°, I 4.7
89.3°, I 12.4

Structural model:
```
CuB6
1.0
4.1034 0.0000 0.0000
0.0000 4.1034 0.0000
0.0000 0.0000 4.1034
Cu B
1 6
Direct
0.0000 0.0000 0.0000 Cu
0.1968 0.5000 0.5000 B
0.5000 0.1968 0.5000 B
0.5000 0.5000 0.1968 B
0.5000 0.5000 0.8032 B
0.5000 0.8032 0.5000 B
0.8032 0.5000 0.5000 B
```

---

(2)
Theoretical powder XRD pattern of TlIrAuS3 for Cu Kα X-rays, from DFT lattice parameters and positions (GGA-PBE).
Kinematic intensities with the Lorentz-polarization factor, no thermal factor.

Most intense lines, 10° ≤ 2θ ≤ 90°, by angle:
22.3°, I 91.2
30.3°, I 100.0
30.8°, I 16.8
31.2°, I 43.9
31.7°, I 19.8
37.8°, I 36.4
38.0°, I 17.3
43.7°, I 40.1
49.2°, I 69.4
53.8°, I 17.9
54.6°, I 16.9
63.7°, I 15.7

Structural model:
```
TlIrAuS3
1.0
1.8526 -7.3385 0.0000
1.8526 7.3385 0.0000
0.0000 0.0000 9.5160
Tl Ir Au S
2 2 2 6
Direct
0.1946 0.8054 0.7500 Tl
0.8054 0.1946 0.2500 Tl
0.5000 0.5000 0.0000 Ir
0.5000 0.5000 0.5000 Ir
0.1488 0.8512 0.2500 Au
0.8512 0.1488 0.7500 Au
0.1033 0.8967 0.0170 S
0.1033 0.8967 0.4830 S
0.4526 0.5474 0.2500 S
0.5474 0.4526 0.7500 S
0.8967 0.1033 0.5170 S
0.8967 0.1033 0.9830 S
```

---

(3)
Theoretical powder XRD pattern of GdCd2Hg for Cu Kα X-rays, from DFT lattice parameters and positions (GGA-PBE).
Kinematic intensities with the Lorentz-polarization factor, no thermal factor.

Most intense lines, 10° ≤ 2θ ≤ 90°, by angle:
30.9°, I 19.8
31.3°, I 15.4
35.9°, I 100.0
36.1°, I 31.4
36.2°, I 40.9
48.2°, I 11.4
48.5°, I 9.0
54.7°, I 9.2
55.4°, I 17.3
64.8°, I 17.6
67.4°, I 22.6
67.9°, I 18.6

Structural model:
```
GdCd2Hg
1.0
4.9789 0.0000 0.0000
0.0000 5.7189 3.3543
0.0000 -5.7189 3.3543
Gd Cd Hg
2 4 2
Direct
0.2500 0.1635 0.8365 Gd
0.7500 0.8365 0.1635 Gd
0.2500 0.1852 0.3472 Cd
0.2500 0.6605 0.3420 Cd
0.7500 0.3420 0.6605 Cd
0.7500 0.3472 0.1852 Cd
0.2500 0.6656 0.8437 Hg
0.7500 0.8437 0.6656 Hg
```

---

(4)
Theoretical powder XRD pattern of Cs2AgSnI6 for Cu Kα X-rays, from DFT lattice parameters and positions (GGA-PBE).
Kinematic intensities with the Lorentz-polarization factor, no thermal factor.

Most intense lines, 10° ≤ 2θ ≤ 90°, by angle:
12.8°, I 20.4
25.0°, I 33.0
26.6°, I 82.7
28.5°, I 100.0
32.3°, I 37.0
38.5°, I 15.8
43.0°, I 58.8
43.7°, I 34.9
50.4°, I 29.4
51.3°, I 24.4
52.4°, I 18.3
69.1°, I 38.1

Structural model:
```
Cs2AgSnI6
1.0
4.2045 2.4275 14.2655
-4.2045 2.4275 14.2655
0.0000 -4.8550 14.2655
Cs Ag Sn I
4 2 2 12
Direct
0.1224 0.1224 0.1224 Cs
0.2946 0.2946 0.2946 Cs
0.7054 0.7054 0.7054 Cs
0.8776 0.8776 0.8776 Cs
0.4177 0.4177 0.4177 Ag
0.5823 0.5823 0.5823 Ag
0.0000 0.0000 0.0000 Sn
0.5000 0.5000 0.5000 Sn
0.1160 0.6289 0.6289 I
0.2095 0.2095 0.7038 I
0.2095 0.7038 0.2095 I
0.2962 0.7905 0.7905 I
0.3711 0.3711 0.8840 I
0.3711 0.8840 0.3711 I
0.6289 0.1160 0.6289 I
0.6289 0.6289 0.1160 I
0.7038 0.2095 0.2095 I
0.7905 0.2962 0.7905 I
0.7905 0.7905 0.2962 I
0.8840 0.3711 0.3711 I
```

---

Please write out number 1 again, unchanged.
Theoretical powder XRD pattern of CuB6 for Cu Kα X-rays, from DFT lattice parameters and positions (GGA-PBE).
Kinematic intensities with the Lorentz-polarization factor, no thermal factor.

Most intense lines, 10° ≤ 2θ ≤ 90°, by angle:
21.7°, I 28.6
30.8°, I 100.0
38.0°, I 47.5
44.1°, I 24.2
49.7°, I 44.4
54.8°, I 15.7
64.2°, I 7.2
68.6°, I 28.7
72.9°, I 20.7
77.1°, I 9.5
85.3°, I 4.7
89.3°, I 12.4

Structural model:
```
CuB6
1.0
4.1034 0.0000 0.0000
0.0000 4.1034 0.0000
0.0000 0.0000 4.1034
Cu B
1 6
Direct
0.0000 0.0000 0.0000 Cu
0.1968 0.5000 0.5000 B
0.5000 0.1968 0.5000 B
0.5000 0.5000 0.1968 B
0.5000 0.5000 0.8032 B
0.5000 0.8032 0.5000 B
0.8032 0.5000 0.5000 B
```